Diffraction record for Y2ClO4. The powder diffraction line list is calculated, not measured: it uses the GGA-PBE geometry in the Materials Project and a wavelength of 1.5418 Å.
Lines closer than 0.1° are merged.

Structure:
```
Y2ClO4
1.0
15.618 0.000 0.000
0.000 6.165 0.000
0.000 0.000 14.441
Y Cl O
8 4 16
Direct
0.040 0.000 0.143
0.056 0.000 0.361
0.444 0.000 0.361
0.460 0.000 0.143
0.540 0.000 0.857
0.556 0.000 0.639
0.944 0.000 0.639
0.960 0.000 0.857
0.108 0.000 0.968
0.392 0.000 0.968
0.608 0.000 0.032
0.892 0.000 0.032
0.037 0.000 0.741
0.045 0.000 0.519
0.134 0.000 0.242
0.210 0.000 0.452
0.290 0.000 0.452
0.366 0.000 0.242
0.455 0.000 0.519
0.463 0.000 0.741
0.537 0.000 0.259
0.545 0.000 0.481
0.634 0.000 0.758
0.710 0.000 0.548
0.790 0.000 0.548
0.866 0.000 0.758
0.955 0.000 0.481
0.963 0.000 0.259
```

Most intense lines, 10 to 80 degrees two-theta, sorted by position:
h k l  d_spacing  2θ/deg  Rel. int.
2 0 0  7.809  11.3  57
0 1 0  6.165  14.4  100
1 1 1  5.324  16.7  10
3 0 1  4.897  18.1  12
2 1 0  4.839  18.3  39
3 1 1  3.835  23.2  14
0 2 0  3.082  29.0  17
2 2 0  2.867  31.2  10
3 1 5  2.337  38.5  12
5 1 5  2.005  45.2  9